Record 1
Calculated powder X-ray diffraction pattern of La2SmEr4 for CuKα, from a cell relaxed with PBE.
Intensities are scaled so that the largest is 100.

Atomic structure:
Lattice parameters (Å, degrees): 7.117 8.673 8.902 114.30 101.70 101.94
Element x y z (fractional)
La1 0.000 0.000 0.000
La2 0.082 0.523 0.838
La3 0.297 0.659 0.544
La4 0.485 0.988 0.999
Sm1 0.419 0.261 0.418
Sm2 0.773 0.837 0.278
Er1 0.192 0.105 0.673
Er2 0.271 0.835 0.271
Er3 0.389 0.431 0.135
Er4 0.594 0.541 0.846
Er5 0.690 0.103 0.675
Er6 0.798 0.661 0.548
Er7 0.882 0.431 0.135
Er8 0.910 0.255 0.408

Main lines, by angle (15° ≤ 2θ ≤ 90°):
2θ = 29.78°, I = 37; 2θ = 31.02°, I = 48; 2θ = 31.15°, I = 100; 2θ = 32.27°, I = 45; 2θ = 32.70°, I = 23; 2θ = 32.87°, I = 27; 2θ = 57.49°, I = 15; 2θ = 61.17°, I = 15; 2θ = 61.41°, I = 14; 2θ = 61.96°, I = 14

***

Record 2
Calculated powder X-ray diffraction pattern of LaSm2Er5 for CuKα, from a cell relaxed with PBE.
Intensities are scaled so that the largest is 100.

Atomic structure:
Lattice parameters (Å, degrees): 8.778 8.778 8.778 156.64 101.22 83.53
Element x y z (fractional)
La1 0.000 0.000 0.000
Sm1 0.243 0.743 0.500
Sm2 0.757 0.257 0.500
Er1 0.139 0.367 0.772
Er2 0.405 0.633 0.772
Er3 0.500 0.000 0.500
Er4 0.595 0.367 0.228
Er5 0.861 0.633 0.228

Main lines, by angle (15° ≤ 2θ ≤ 90°):
2θ = 30.61°, I = 72; 2θ = 31.70°, I = 100; 2θ = 32.14°, I = 42; 2θ = 32.49°, I = 46; 2θ = 34.94°, I = 17; 2θ = 46.35°, I = 28; 2θ = 51.42°, I = 13; 2θ = 56.29°, I = 22; 2θ = 58.14°, I = 21; 2θ = 61.68°, I = 30

***

Record 3
Calculated powder X-ray diffraction pattern of La7Sm3Er2 for CuKα, from a cell relaxed with PBE.
Intensities are scaled so that the largest is 100.

Atomic structure:
Lattice parameters (Å, degrees): 5.987 3.633 19.467 90.00 93.89 90.00
Element x y z (fractional)
La1 0.000 0.000 0.000
La2 0.177 0.500 0.185
La3 0.257 0.500 0.533
La4 0.326 0.000 0.853
La5 0.674 0.000 0.147
La6 0.743 0.500 0.467
La7 0.823 0.500 0.815
Sm1 0.220 0.000 0.364
Sm2 0.500 0.500 0.000
Sm3 0.780 0.000 0.636
Er1 0.291 0.500 0.702
Er2 0.709 0.500 0.298

Main lines, by angle (15° ≤ 2θ ≤ 90°):
2θ = 27.56°, I = 26; 2θ = 29.94°, I = 71; 2θ = 30.53°, I = 100; 2θ = 30.73°, I = 35; 2θ = 31.52°, I = 21; 2θ = 32.33°, I = 28; 2θ = 33.72°, I = 31; 2θ = 50.23°, I = 15; 2θ = 52.93°, I = 15; 2θ = 59.58°, I = 15

***

Record 4
Calculated powder X-ray diffraction pattern of LaSm12Er5 for CuKα, from a cell relaxed with PBE.
Intensities are scaled so that the largest is 100.

Atomic structure:
Lattice parameters (Å, degrees): 10.808 10.808 5.095 90.00 90.00 90.07
Element x y z (fractional)
La1 0.000 0.000 0.000
Sm1 0.001 0.665 0.000
Sm2 0.168 0.168 0.500
Sm3 0.169 0.502 0.500
Sm4 0.335 0.335 0.000
Sm5 0.335 0.999 0.000
Sm6 0.498 0.831 0.500
Sm7 0.502 0.169 0.500
Sm8 0.665 0.001 0.000
Sm9 0.665 0.665 0.000
Sm10 0.831 0.498 0.500
Sm11 0.832 0.832 0.500
Sm12 0.999 0.335 0.000
Er1 0.169 0.831 0.500
Er2 0.333 0.667 0.000
Er3 0.500 0.500 0.500
Er4 0.667 0.333 0.000
Er5 0.831 0.169 0.500

Main lines, by angle (15° ≤ 2θ ≤ 90°):
2θ = 30.38°, I = 100; 2θ = 35.23°, I = 51; 2θ = 50.67°, I = 36; 2θ = 60.24°, I = 43; 2θ = 63.22°, I = 12; 2θ = 74.46°, I = 4; 2θ = 74.54°, I = 2; 2θ = 82.52°, I = 18; 2θ = 85.15°, I = 14; 2θ = 85.22°, I = 3

***

Record 5
Calculated powder X-ray diffraction pattern of La5Sm6Er2 for CuKα, from a cell relaxed with PBE.
Intensities are scaled so that the largest is 100.

Atomic structure:
Lattice parameters (Å, degrees): 11.811 21.006 3.663 90.00 90.00 90.00
Element x y z (fractional)
La1 0.000 0.000 0.000
La2 0.084 0.272 0.000
La3 0.198 0.551 0.000
La4 0.302 0.051 0.000
La5 0.416 0.772 0.000
La6 0.500 0.500 0.000
La7 0.584 0.228 0.000
La8 0.698 0.949 0.000
La9 0.802 0.449 0.000
La10 0.916 0.728 0.000
Sm1 0.063 0.418 0.500
Sm2 0.083 0.131 0.500
Sm3 0.174 0.859 0.000
Sm4 0.326 0.359 0.000
Sm5 0.417 0.631 0.500
Sm6 0.437 0.918 0.500
Sm7 0.563 0.082 0.500
Sm8 0.583 0.369 0.500
Sm9 0.674 0.641 0.000
Sm10 0.826 0.141 0.000
Sm11 0.917 0.869 0.500
Sm12 0.937 0.582 0.500
Er1 0.171 0.710 0.500
Er2 0.329 0.210 0.500
Er3 0.671 0.790 0.500
Er4 0.829 0.290 0.500

Main lines, by angle (15° ≤ 2θ ≤ 90°):
2θ = 26.56°, I = 14; 2θ = 30.57°, I = 53; 2θ = 30.72°, I = 100; 2θ = 31.13°, I = 14; 2θ = 31.45°, I = 87; 2θ = 33.47°, I = 38; 2θ = 34.28°, I = 15; 2θ = 35.87°, I = 39; 2θ = 49.79°, I = 19; 2θ = 59.61°, I = 32

***

Record 6
Calculated powder X-ray diffraction pattern of LaSmEr6 for CuKα, from a cell relaxed with PBE.
Intensities are scaled so that the largest is 100.

Atomic structure:
Lattice parameters (Å, degrees): 6.155 6.155 8.492 102.86 102.86 65.20
Element x y z (fractional)
La1 0.000 0.000 0.000
Sm1 0.000 0.000 0.500
Er1 0.059 0.543 0.203
Er2 0.378 0.378 0.579
Er3 0.457 0.941 0.797
Er4 0.543 0.059 0.203
Er5 0.622 0.622 0.421
Er6 0.941 0.457 0.797

Main lines, by angle (15° ≤ 2θ ≤ 90°):
2θ = 18.18°, I = 39; 2θ = 25.10°, I = 32; 2θ = 29.05°, I = 39; 2θ = 30.00°, I = 41; 2θ = 31.69°, I = 95; 2θ = 32.39°, I = 81; 2θ = 32.69°, I = 90; 2θ = 32.97°, I = 54; 2θ = 34.63°, I = 45; 2θ = 34.81°, I = 100

***

Record 7
Calculated powder X-ray diffraction pattern of La2Sm5Er12 for CuKα, from a cell relaxed with PBE.
Intensities are scaled so that the largest is 100.

Atomic structure:
Lattice parameters (Å, degrees): 6.291 9.037 10.945 87.17 82.46 87.58
Element x y z (fractional)
La1 0.041 0.006 0.158
La2 0.959 0.994 0.842
Sm1 0.233 0.939 0.552
Sm2 0.373 0.512 0.156
Sm3 0.500 0.500 0.500
Sm4 0.627 0.488 0.844
Sm5 0.767 0.061 0.448
Er1 0.002 0.674 0.393
Er2 0.099 0.330 0.948
Er3 0.148 0.635 0.748
Er4 0.319 0.205 0.341
Er5 0.426 0.833 0.950
Er6 0.479 0.165 0.729
Er7 0.521 0.835 0.271
Er8 0.574 0.167 0.050
Er9 0.681 0.795 0.659
Er10 0.852 0.365 0.252
Er11 0.901 0.670 0.052
Er12 0.998 0.326 0.607

Main lines, by angle (15° ≤ 2θ ≤ 90°):
2θ = 29.27°, I = 84; 2θ = 31.02°, I = 100; 2θ = 31.96°, I = 84; 2θ = 32.23°, I = 79; 2θ = 32.59°, I = 78; 2θ = 32.67°, I = 73; 2θ = 42.33°, I = 24; 2θ = 49.50°, I = 28; 2θ = 55.66°, I = 21; 2θ = 56.56°, I = 29

***

Record 8
Calculated powder X-ray diffraction pattern of La2Sm5Er3 for CuKα, from a cell relaxed with PBE.
Intensities are scaled so that the largest is 100.

Atomic structure:
Lattice parameters (Å, degrees): 9.709 9.709 9.507 108.63 108.63 111.72
Element x y z (fractional)
La1 0.017 0.268 0.049
La2 0.268 0.017 0.549
La3 0.732 0.983 0.451
La4 0.983 0.732 0.951
Sm1 0.155 0.386 0.782
Sm2 0.230 0.770 0.750
Sm3 0.272 0.728 0.250
Sm4 0.386 0.155 0.282
Sm5 0.468 0.532 0.250
Sm6 0.532 0.468 0.750
Sm7 0.614 0.845 0.718
Sm8 0.728 0.272 0.750
Sm9 0.770 0.230 0.250
Sm10 0.845 0.614 0.218
Er1 0.024 0.976 0.750
Er2 0.222 0.462 0.455
Er3 0.462 0.222 0.955
Er4 0.538 0.778 0.045
Er5 0.778 0.538 0.545
Er6 0.976 0.024 0.250

Main lines, by angle (15° ≤ 2θ ≤ 90°):
2θ = 29.90°, I = 100; 2θ = 30.21°, I = 49; 2θ = 30.32°, I = 50; 2θ = 31.95°, I = 24; 2θ = 32.88°, I = 48; 2θ = 37.41°, I = 19; 2θ = 46.45°, I = 17; 2θ = 48.76°, I = 20; 2θ = 56.95°, I = 24; 2θ = 65.04°, I = 20

***

Record 9
Calculated powder X-ray diffraction pattern of La7SmEr3 for CuKα, from a cell relaxed with PBE.
Intensities are scaled so that the largest is 100.

Atomic structure:
Lattice parameters (Å, degrees): 6.635 6.784 8.911 99.82 98.82 95.49
Element x y z (fractional)
La1 0.000 0.000 0.000
La2 0.048 0.710 0.644
La3 0.209 0.224 0.707
La4 0.482 0.735 0.911
La5 0.518 0.265 0.089
La6 0.791 0.776 0.293
La7 0.952 0.290 0.356
Sm1 0.000 0.500 0.000
Er1 0.319 0.925 0.335
Er2 0.500 0.500 0.500
Er3 0.681 0.075 0.665

Main lines, by angle (15° ≤ 2θ ≤ 90°):
2θ = 26.65°, I = 11; 2θ = 27.44°, I = 10; 2θ = 30.71°, I = 20; 2θ = 31.01°, I = 61; 2θ = 31.42°, I = 100; 2θ = 31.64°, I = 35; 2θ = 32.42°, I = 22; 2θ = 33.84°, I = 11; 2θ = 54.90°, I = 9; 2θ = 56.15°, I = 9

***

Record 10
Calculated powder X-ray diffraction pattern of La2TbSm2Er for CuKα, from a cell relaxed with PBE.
Intensities are scaled so that the largest is 100.

Atomic structure:
Lattice parameters (Å, degrees): 7.111 5.741 9.938 90.00 90.00 90.00
Element x y z (fractional)
La1 0.000 0.000 0.000
La2 0.250 0.500 0.178
La3 0.500 0.000 0.000
La4 0.750 0.500 0.822
Tb1 0.250 0.000 0.657
Tb2 0.750 0.000 0.343
Sm1 0.250 0.000 0.333
Sm2 0.250 0.500 0.834
Sm3 0.750 0.000 0.667
Sm4 0.750 0.500 0.166
Er1 0.000 0.500 0.500
Er2 0.500 0.500 0.500

Main lines, by angle (15° ≤ 2θ ≤ 90°):
2θ = 30.92°, I = 92; 2θ = 31.17°, I = 100; 2θ = 44.48°, I = 34; 2θ = 55.30°, I = 35; 2θ = 55.46°, I = 19; 2θ = 61.34°, I = 29; 2θ = 65.00°, I = 12; 2θ = 73.71°, I = 15; 2θ = 78.99°, I = 14; 2θ = 87.33°, I = 11

***

Record 11
Calculated powder X-ray diffraction pattern of LaTb2Sm6Er for CuKα, from a cell relaxed with PBE.
Intensities are scaled so that the largest is 100.

Atomic structure:
Lattice parameters (Å, degrees): 8.912 8.912 9.688 93.55 93.55 117.50
Element x y z (fractional)
La1 0.027 0.973 0.750
La2 0.973 0.027 0.250
Tb1 0.201 0.303 0.548
Tb2 0.303 0.201 0.048
Tb3 0.697 0.799 0.952
Tb4 0.799 0.697 0.452
Sm1 0.013 0.562 0.684
Sm2 0.121 0.752 0.056
Sm3 0.248 0.879 0.444
Sm4 0.294 0.510 0.882
Sm5 0.438 0.987 0.816
Sm6 0.490 0.706 0.618
Sm7 0.510 0.294 0.382
Sm8 0.562 0.013 0.184
Sm9 0.706 0.490 0.118
Sm10 0.752 0.121 0.556
Sm11 0.879 0.248 0.944
Sm12 0.987 0.438 0.316
Er1 0.410 0.590 0.250
Er2 0.590 0.410 0.750

Main lines, by angle (15° ≤ 2θ ≤ 90°):
2θ = 27.80°, I = 17; 2θ = 28.12°, I = 37; 2θ = 30.19°, I = 100; 2θ = 30.81°, I = 59; 2θ = 30.92°, I = 41; 2θ = 31.21°, I = 37; 2θ = 31.97°, I = 20; 2θ = 33.51°, I = 44; 2θ = 37.12°, I = 17; 2θ = 53.15°, I = 15

***

Record 12
Calculated powder X-ray diffraction pattern of LaTb2Sm2Er2 for CuKα, from a cell relaxed with PBE.
Intensities are scaled so that the largest is 100.

Atomic structure:
Lattice parameters (Å, degrees): 6.079 6.079 11.871 101.67 101.67 33.41
Element x y z (fractional)
La1 0.000 0.000 0.000
Tb1 0.408 0.408 0.720
Tb2 0.592 0.592 0.280
Sm1 0.296 0.296 0.134
Sm2 0.704 0.704 0.866
Er1 0.343 0.343 0.428
Er2 0.657 0.657 0.572

Main lines, by angle (15° ≤ 2θ ≤ 90°):
2θ = 26.68°, I = 38; 2θ = 27.32°, I = 49; 2θ = 30.02°, I = 31; 2θ = 30.57°, I = 100; 2θ = 30.73°, I = 85; 2θ = 31.52°, I = 88; 2θ = 34.36°, I = 60; 2θ = 34.90°, I = 69; 2θ = 52.55°, I = 32; 2θ = 61.90°, I = 74